No. 1
Diffraction record for BaTcIr. The powder XRD pattern is computed, not measured: it uses DFT lattice parameters and positions (GGA-PBE) and Cu Kα X-rays.
Neutral-atom scattering factors, no anomalous dispersion.

Unit cell a=4.2005 b=4.2005 c=10.6687 alpha=90.00 beta=90.00 gamma=120.00
Space group P6_3/mmc (No. 194)
Asymmetric unit:
Ba 0.0000 0.0000 0.0000 x2
Tc 0.3333 0.6667 0.2500 x2
Ir 0.3333 0.6667 0.7500 x2

Peak list (12 most intense, 5 to 70 degrees two-theta, sorted by position)
2θ (°)	I_rel	hkl
16.62	22	0 0 2
25.88	10	1 0 1
29.73	100	1 0 2
33.60	28	0 0 4
35.30	5	1 0 3
43.07	42	1 1 0
46.47	10	1 1 2
49.53	2	1 0 5
53.21	19	2 0 2
55.71	39	1 1 4
57.71	15	1 0 6
69.23	3	1 1 6



No. 2
Diffraction record for Ac6Bi2Te3As. The powder XRD pattern is computed, not measured: it uses DFT lattice parameters and positions (GGA-PBE) and Cu Kα X-rays.
Neutral-atom scattering factors, no anomalous dispersion.

Unit cell a=20.760 b=4.744 c=9.541 alpha=90.00 beta=103.22 gamma=90.00
Space group C2/m (No. 12)
Asymmetric unit:
Ac 0.001 0.000 0.273 x4
Ac 0.156 0.500 0.578 x4
Ac 0.166 0.500 0.082 x4
Bi 0.167 0.000 0.833 x4
Te 0.000 0.500 0.000 x2
Te 0.170 0.000 0.335 x4
As 0.000 0.500 0.500 x2

Peak list (12 most intense, 5 to 70 degrees two-theta, sorted by position)
2θ (°)	I_rel	hkl
22.89	8	3 1 0
26.48	100	1 1 -2
37.78	64	7 1 -2
37.93	13	0 2 0
46.63	7	4 0 4
46.69	7	8 0 -4
46.84	14	6 2 0
54.54	13	2 2 -4
61.53	12	3 1 -6
61.63	18	8 2 -4
68.15	12	9 1 -6
68.43	9	7 3 -2



No. 3
Diffraction record for Cs2LaAuI6. The powder XRD pattern is computed, not measured: it uses DFT lattice parameters and positions (GGA-PBE) and Cu Kα X-rays.
Neutral-atom scattering factors, no anomalous dispersion.

Unit cell a=8.637 b=8.637 c=12.789 alpha=90.00 beta=90.00 gamma=90.00
Space group I4/mmm (No. 139)
Asymmetric unit:
Cs 0.000 0.500 0.250 x4
La 0.000 0.000 0.000 x2
Au 0.000 0.000 0.500 x2
I 0.000 0.000 0.246 x4
I 0.241 0.241 0.500 x8

Peak list (12 most intense, 5 to 70 degrees two-theta, sorted by position)
2θ (°)	I_rel	hkl
13.85	17	0 0 2
14.50	31	1 1 0
20.11	33	1 1 2
24.88	77	2 0 2
27.90	57	0 0 4
29.25	100	2 2 0
40.87	80	2 2 4
41.84	37	4 0 0
49.29	22	4 2 2
51.04	42	4 0 4
65.96	19	2 2 8
68.05	18	4 4 4



No. 4
Diffraction record for ReNO4. The powder XRD pattern is computed, not measured: it uses DFT lattice parameters and positions (GGA-PBE) and Cu Kα X-rays.
Neutral-atom scattering factors, no anomalous dispersion.

Unit cell a=4.730 b=4.730 c=17.540 alpha=90.00 beta=90.00 gamma=90.00
Space group I4_1/a (No. 88, origin choice 2)
Asymmetric unit:
Re 0.000 0.250 0.125 x4
N 0.000 0.250 0.625 x4
O 0.217 0.032 0.182 x16

Peak list (12 most intense, 5 to 70 degrees two-theta, sorted by position)
2θ (°)	I_rel	hkl
19.44	100	1 0 1
20.25	61	0 0 4
24.20	55	1 0 3
28.56	96	1 1 2
31.76	25	1 0 5
41.00	35	1 1 6
43.07	21	2 1 1
43.47	27	2 0 4
45.60	19	1 2 3
50.37	16	2 1 5
57.30	20	2 0 8
63.04	19	3 1 2



No. 5
Diffraction record for Dy2Mg2Sc3. The powder XRD pattern is computed, not measured: it uses DFT lattice parameters and positions (GGA-PBE) and Cu Kα X-rays.
Neutral-atom scattering factors, no anomalous dispersion.

Unit cell a=9.133 b=5.280 c=8.090 alpha=90.00 beta=112.21 gamma=90.00
Space group C2/m (No. 12)
Asymmetric unit:
Dy 0.216 0.000 0.149 x4
Mg 0.067 0.000 0.700 x4
Sc 0.000 0.500 0.000 x2
Sc 0.138 0.500 0.415 x4

Peak list (12 most intense, 5 to 70 degrees two-theta, sorted by position)
2θ (°)	I_rel	hkl
11.82	30	0 0 1
20.99	66	1 1 -1
25.12	23	2 0 -2
27.84	38	2 0 1
33.98	100	0 2 0
34.14	97	1 1 2
36.10	13	3 1 0
40.28	13	4 0 -2
48.89	28	2 2 -3
60.77	16	3 3 -1
60.88	31	6 0 -2
61.21	16	2 0 4